Record 1
SiBP: calculated powder X-ray diffraction pattern (Cu Kα (weighted mean of Kα1 and Kα2)), based on a DFT-relaxed cell (PBE, Alexandria).

Cell and atoms:
```
data_SiBP
_chemical_formula_sum 'Si4 B4 P4'
_cell_length_a 3.413
_cell_length_b 3.413
_cell_length_c 14.642
_cell_angle_alpha 90.00
_cell_angle_beta 90.00
_cell_angle_gamma 90.00
_symmetry_space_group_name_H-M 'I 41 m d'
_symmetry_Int_Tables_number 109
_symmetry_space_group_name_Hall 'I 4bw -2'
loop_
_atom_site_label
_atom_site_type_symbol
_atom_site_fract_x
_atom_site_fract_y
_atom_site_fract_z
Si1 Si 0.000 0.000 0.000
B1 B 0.000 0.000 0.676
P1 P 0.000 0.000 0.351
```

Peak list (10 most intense, 5 to 70 degrees two-theta, in order of rising 2θ)
two_theta, I/Imax, hkl
26.82, 12, 1 0 1
32.00, 100, 1 0 3
39.31, 18, 1 1 2
40.60, 14, 1 0 5
49.82, 5, 0 0 8
53.40, 37, 1 1 6
53.72, 20, 2 0 0
63.33, 10, 1 0 9
63.91, 23, 2 1 3
69.45, 6, 2 1 5

Record 2
SrB2P: calculated powder X-ray diffraction pattern (Cu Kα (weighted mean of Kα1 and Kα2)), based on a DFT-relaxed cell (PBE, Alexandria).

Cell and atoms:
```
data_SrB2P
_chemical_formula_sum 'Sr4 B8 P4'
_cell_length_a 4.295
_cell_length_b 4.295
_cell_length_c 13.398
_cell_angle_alpha 90.00
_cell_angle_beta 90.00
_cell_angle_gamma 90.00
_symmetry_space_group_name_H-M 'I 41/a m d'
_symmetry_Int_Tables_number 141
loop_
_symmetry_equiv_pos_as_xyz
'x,y,z'
'-x,-y,-z'
'-y+1/4,x+3/4,z+1/4'
'y+1/4,-x+3/4,-z+1/4'
'-x+1/2,-y,z+1/2'
'x+1/2,y,-z+1/2'
'y+1/4,-x+1/4,z+3/4'
'-y+1/4,x+1/4,-z+3/4'
'x,-y,-z'
'-x,y,z'
'-y+1/4,-x+1/4,-z+3/4'
'y+1/4,x+1/4,z+3/4'
'-x+1/2,y,-z+1/2'
'x+1/2,-y,z+1/2'
'y+1/4,x+3/4,-z+1/4'
'-y+1/4,-x+3/4,z+1/4'
'x+1/2,y+1/2,z+1/2'
'-x+1/2,-y+1/2,-z+1/2'
'-y+3/4,x+1/4,z+3/4'
'y+3/4,-x+1/4,-z+3/4'
'-x,-y+1/2,z'
'x,y+1/2,-z'
'y+3/4,-x+3/4,z+1/4'
'-y+3/4,x+3/4,-z+1/4'
'x+1/2,-y+1/2,-z+1/2'
'-x+1/2,y+1/2,z+1/2'
'-y+3/4,-x+3/4,-z+1/4'
'y+3/4,x+3/4,z+1/4'
'-x,y+1/2,-z'
'x,-y+1/2,z'
'y+3/4,x+1/4,-z+3/4'
'-y+3/4,-x+1/4,z+3/4'
loop_
_atom_site_label
_atom_site_type_symbol
_atom_site_fract_x
_atom_site_fract_y
_atom_site_fract_z
Sr1 Sr 0.000 0.250 0.375
B1 B 0.000 0.000 0.000
P1 P 0.000 0.250 0.875
```

Peak list (10 most intense, 5 to 70 degrees two-theta, in order of rising 2θ)
two_theta, I/Imax, hkl
21.73, 17, 1 0 1
26.61, 30, 0 0 4
28.84, 23, 1 0 3
32.36, 100, 1 1 2
39.64, 10, 1 0 5
42.07, 24, 2 0 0
47.83, 11, 2 1 1
50.48, 27, 2 0 4
50.75, 27, 1 1 6
67.75, 14, 2 2 4

Record 3
SrZrBP2: calculated powder X-ray diffraction pattern (Cu Kα (weighted mean of Kα1 and Kα2)), based on a DFT-relaxed cell (PBE, Alexandria).

Cell and atoms:
```
data_SrZrBP2
_chemical_formula_sum 'Sr1 Zr1 B1 P2'
_cell_length_a 5.150
_cell_length_b 5.150
_cell_length_c 4.402
_cell_angle_alpha 90.00
_cell_angle_beta 90.00
_cell_angle_gamma 90.00
_symmetry_space_group_name_H-M 'P 4/m m m'
_symmetry_Int_Tables_number 123
_symmetry_space_group_name_Hall '-P 4 2'
loop_
_atom_site_label
_atom_site_type_symbol
_atom_site_fract_x
_atom_site_fract_y
_atom_site_fract_z
Sr1 Sr 0.000 0.000 0.000
Zr1 Zr 0.500 0.500 0.500
B1 B 0.000 0.000 0.500
P1 P 0.000 0.500 0.000
```

Peak list (10 most intense, 5 to 70 degrees two-theta, in order of rising 2θ)
two_theta, I/Imax, hkl
24.45, 33, 1 1 0
26.64, 100, 1 0 1
31.90, 12, 1 1 1
34.84, 52, 2 0 0
41.01, 16, 0 0 2
44.39, 50, 2 1 1
50.10, 18, 2 2 0
54.88, 27, 2 0 2
66.67, 15, 2 2 2
69.15, 13, 3 2 1

Record 4
Tc5B2P: calculated powder X-ray diffraction pattern (Cu Kα (weighted mean of Kα1 and Kα2)), based on a DFT-relaxed cell (PBE, Alexandria).

Cell and atoms:
```
data_Tc5B2P
_chemical_formula_sum 'Tc20 B8 P4'
_cell_length_a 5.583
_cell_length_b 5.583
_cell_length_c 12.223
_cell_angle_alpha 90.00
_cell_angle_beta 90.00
_cell_angle_gamma 90.00
_symmetry_space_group_name_H-M 'I 4/m c m'
_symmetry_Int_Tables_number 140
_symmetry_space_group_name_Hall '-I 4 2c'
loop_
_atom_site_label
_atom_site_type_symbol
_atom_site_fract_x
_atom_site_fract_y
_atom_site_fract_z
Tc1 Tc 0.000 0.000 0.000
Tc2 Tc 0.172 0.328 0.145
B1 B 0.119 0.381 0.500
P1 P 0.000 0.000 0.250
```

Peak list (10 most intense, 5 to 70 degrees two-theta, in order of rising 2θ)
two_theta, I/Imax, hkl
29.23, 19, 0 0 4
35.35, 17, 2 0 2
36.74, 56, 2 1 1
37.21, 38, 1 1 4
42.46, 100, 2 1 3
43.93, 62, 2 0 4
44.47, 18, 0 0 6
45.98, 16, 2 2 0
51.78, 37, 3 1 0
65.20, 28, 2 1 7